[1]
This entry pairs a crystal structure of K2Cu2OsO6 with its calculated X-ray powder pattern. Radiation: λ = 1.5418 Å (Cu Kα). Structure: a crystal structure in Alexandria, relaxed with PBE.
Neutral-atom scattering factors, no anomalous dispersion.

Main lines, in order of rising 2θ (5° ≤ 2θ ≤ 70°):
2θ/deg	Rel. int.
16.31	37
18.30	27
20.61	75
30.49	100
32.64	93
34.77	24
45.27	30
54.19	19
55.56	45
63.46	18

Structure:
```
K2Cu2OsO6
1.0
2.9317 1.6926 5.4335
-2.9317 1.6926 5.4335
0.0000 -3.3853 5.4335
K Cu Os O
2 2 1 6
Direct
0.2155 0.2155 0.2155 K
0.7845 0.7845 0.7845 K
0.4070 0.4070 0.4070 Cu
0.5930 0.5930 0.5930 Cu
0.0000 0.0000 0.0000 Os
0.2201 0.2201 0.7686 O
0.2201 0.7686 0.2201 O
0.2314 0.7799 0.7799 O
0.7686 0.2201 0.2201 O
0.7799 0.2314 0.7799 O
0.7799 0.7799 0.2314 O
```

=====

[2]
This entry pairs a crystal structure of Ac2Ni4Sn3Pb with its calculated X-ray powder pattern. Radiation: λ = 1.5418 Å (Cu Kα). Structure: a crystal structure in Alexandria, relaxed with PBE.
Neutral-atom scattering factors, no anomalous dispersion.

Main lines, in order of rising 2θ (5° ≤ 2θ ≤ 70°):
2θ/deg	Rel. int.
28.76	18
32.25	62
32.44	100
39.19	62
47.82	19
51.62	34
56.62	21
60.30	16
63.47	16
66.78	25

Structure:
```
Ac2Ni4Sn3Pb
1.0
4.5980 0.0000 0.0000
0.0000 4.5980 0.0000
0.0000 0.0000 10.4467
Ac Ni Sn Pb
2 4 3 1
Direct
0.0000 0.5000 0.2366 Ac
0.5000 0.0000 0.7634 Ac
0.0000 0.0000 0.0000 Ni
0.0000 0.5000 0.6342 Ni
0.5000 0.0000 0.3658 Ni
0.5000 0.5000 0.0000 Ni
0.0000 0.5000 0.8810 Sn
0.5000 0.0000 0.1190 Sn
0.5000 0.5000 0.5000 Sn
0.0000 0.0000 0.5000 Pb
```

=====

Please write out number 2 again, unchanged.
This entry pairs a crystal structure of Ac2Ni4Sn3Pb with its calculated X-ray powder pattern. Radiation: λ = 1.5418 Å (Cu Kα). Structure: a crystal structure in Alexandria, relaxed with PBE.
Neutral-atom scattering factors, no anomalous dispersion.

Main lines, in order of rising 2θ (5° ≤ 2θ ≤ 70°):
2θ/deg	Rel. int.
28.76	18
32.25	62
32.44	100
39.19	62
47.82	19
51.62	34
56.62	21
60.30	16
63.47	16
66.78	25

Structure:
```
Ac2Ni4Sn3Pb
1.0
4.5980 0.0000 0.0000
0.0000 4.5980 0.0000
0.0000 0.0000 10.4467
Ac Ni Sn Pb
2 4 3 1
Direct
0.0000 0.5000 0.2366 Ac
0.5000 0.0000 0.7634 Ac
0.0000 0.0000 0.0000 Ni
0.0000 0.5000 0.6342 Ni
0.5000 0.0000 0.3658 Ni
0.5000 0.5000 0.0000 Ni
0.0000 0.5000 0.8810 Sn
0.5000 0.0000 0.1190 Sn
0.5000 0.5000 0.5000 Sn
0.0000 0.0000 0.5000 Pb
```